No. 1
For Li5IO6, a cell relaxed with PBE gives the simulated XRD peak list in this record (a wavelength of 1.5418 Å).

Cell and atoms:
```
Li5IO6
1.0
5.176 0.000 0.000
-2.588 4.482 0.000
0.000 0.000 14.495
Li I O
15 3 18
Cartesian
0.842 0.486 0.000
0.000 1.965 2.416
-0.886 3.500 12.079
0.000 2.017 9.664
-0.841 3.474 4.832
0.841 3.474 0.000
2.588 0.476 2.416
1.706 2.003 12.079
2.588 0.517 9.664
1.741 1.983 4.832
0.886 3.500 7.248
3.434 1.983 0.000
4.334 0.486 4.832
2.588 3.510 9.664
3.470 2.003 7.248
0.879 0.508 7.248
4.297 0.508 12.079
2.588 3.467 2.416
-0.113 1.848 13.211
-1.044 3.460 1.284
0.793 0.326 3.498
0.679 0.523 10.997
0.113 1.848 6.116
-0.931 3.656 8.380
2.433 0.502 6.133
1.651 1.857 8.363
2.742 0.502 13.194
1.806 2.124 1.301
1.044 3.460 3.548
0.931 3.656 10.947
4.383 0.326 1.334
2.474 3.633 13.162
3.525 1.857 10.964
3.370 2.124 3.531
4.497 0.523 8.330
2.702 3.633 6.165
```

Principal peaks in the range 15° ≤ 2θ ≤ 90°, in order of falling intensity:
2θ 20.74, intensity 1000, (1 0 1)
2θ 42.95, intensity 704, (1 1 4)
2θ 23.33, intensity 702, (1 0 2)
2θ 18.36, intensity 670, (0 0 3)
2θ 19.81, intensity 532, (1 0 0)
2θ 27.14, intensity 420, (1 0 3)
2θ 35.23, intensity 291, (1 1 1)
2θ 31.75, intensity 260, (1 0 4)

***

No. 2
For Pr4NdEr5, a cell relaxed with PBE gives the simulated XRD peak list in this record (a wavelength of 1.5418 Å).

Cell and atoms:
```
Pr4NdEr5
1.0
3.543 0.000 0.000
-1.767 8.597 0.000
-0.004 -0.048 11.401
Pr Nd Er
4 1 5
Cartesian
0.005 0.564 2.821
0.021 5.849 2.852
1.752 2.700 8.549
1.767 7.985 8.580
1.770 -0.024 5.701
-0.003 2.964 0.503
-0.005 2.978 5.134
1.772 0.000 0.000
1.778 5.571 6.267
1.775 5.586 10.898
```

Principal peaks in the range 15° ≤ 2θ ≤ 90°, in order of falling intensity:
2θ 33.64, intensity 1000, (-1 2 2)
2θ 31.37, intensity 341, (0 0 4)
2θ 31.21, intensity 280, (0 3 0)
2θ 26.86, intensity 212, (-1 1 1)
2θ 25.63, intensity 178, (0 1 3)
2θ 47.72, intensity 157, (1 -1 5)
2θ 61.61, intensity 140, (2 -4 0)
2θ 31.49, intensity 129, (0 2 3)

***

No. 3
For Rb3TcN3, a cell relaxed with PBE gives the simulated XRD peak list in this record (a wavelength of 1.5418 Å).

Cell and atoms:
```
Rb3TcN3
1.0
7.762 0.000 0.000
0.000 7.199 0.000
-1.108 0.000 11.380
Rb Tc N
12 4 12
Cartesian
0.166 0.747 1.782
-0.388 2.852 7.471
1.778 1.329 10.566
2.332 2.271 4.876
1.918 4.934 9.197
2.472 5.865 3.507
4.183 1.335 7.873
4.737 2.265 2.183
4.323 4.928 6.504
4.877 5.871 0.814
7.042 4.347 3.908
6.489 6.452 9.598
1.063 4.103 0.692
0.509 6.696 6.382
6.146 0.503 4.997
5.592 3.097 10.687
0.350 0.413 4.634
-0.204 3.186 10.324
1.173 5.031 6.168
1.727 5.769 0.478
1.434 0.450 7.591
1.988 3.150 1.902
4.667 4.050 9.478
5.221 6.749 3.788
4.928 1.431 10.901
5.482 2.169 5.211
6.859 4.013 1.055
6.305 6.786 6.745
```

Principal peaks in the range 15° ≤ 2θ ≤ 90°, in order of falling intensity:
2θ 28.77, intensity 1000, (1 2 1)
2θ 28.06, intensity 702, (1 1 -3)
2θ 33.88, intensity 696, (0 1 4)
2θ 29.40, intensity 583, (2 1 -2)
2θ 29.17, intensity 517, (2 0 2)
2θ 27.33, intensity 351, (1 2 0)
2θ 26.60, intensity 300, (2 0 -2)
2θ 37.20, intensity 219, (3 1 -1)

***

No. 4
For MgCdB, a cell relaxed with PBE gives the simulated XRD peak list in this record (a wavelength of 1.5418 Å).

Cell and atoms:
```
MgCdB
1.0
3.690 0.000 0.000
0.000 3.146 0.000
-1.788 0.000 7.934
Mg Cd B
2 2 2
Cartesian
0.007 0.787 1.282
1.895 2.360 6.652
0.040 0.787 4.861
1.862 2.360 3.073
0.058 0.787 7.615
1.843 2.360 0.319
```

Principal peaks in the range 15° ≤ 2θ ≤ 90°, in order of falling intensity:
2θ 38.01, intensity 1000, (1 1 -1)
2θ 36.45, intensity 675, (0 1 2)
2θ 37.24, intensity 353, (1 0 2)
2θ 37.51, intensity 348, (1 0 -3)
2θ 29.42, intensity 302, (1 0 1)
2θ 29.62, intensity 290, (1 0 -2)
2θ 44.77, intensity 212, (0 1 3)
2θ 30.57, intensity 186, (0 1 1)

***

No. 5
For SmDyPb2, a cell relaxed with PBE gives the simulated XRD peak list in this record (a wavelength of 1.5418 Å).

Cell and atoms:
```
SmDyPb2
1.0
3.570 0.000 0.000
0.000 3.570 0.000
0.000 0.000 9.023
Sm Dy Pb
1 1 2
Cartesian
0.000 0.000 0.000
0.000 0.000 4.512
1.785 1.785 2.300
1.785 1.785 6.724
```

Principal peaks in the range 15° ≤ 2θ ≤ 90°, in order of falling intensity:
2θ 31.97, intensity 1000, (1 0 2)
2θ 35.56, intensity 379, (1 1 0)
2θ 61.62, intensity 314, (2 1 2)
2θ 54.56, intensity 224, (1 1 4)
2θ 39.97, intensity 137, (0 0 4)
2θ 51.17, intensity 136, (2 0 0)
2θ 66.83, intensity 123, (2 0 4)
2θ 89.53, intensity 122, (2 1 6)

***

No. 6
For Sm3DyS4, a cell relaxed with PBE gives the simulated XRD peak list in this record (a wavelength of 1.5418 Å).

Cell and atoms:
```
Sm3DyS4
1.0
3.970 0.000 0.000
0.000 5.625 0.000
0.000 0.000 8.009
Sm Dy S
3 1 4
Cartesian
0.000 0.000 0.000
1.985 2.812 1.993
1.985 2.812 6.016
0.000 0.000 4.004
0.000 2.812 0.000
0.000 2.812 4.004
1.985 0.000 2.059
1.985 0.000 5.950
```

Principal peaks in the range 15° ≤ 2θ ≤ 90°, in order of falling intensity:
2θ 31.77, intensity 1000, (1 0 2)
2θ 45.56, intensity 481, (1 2 2)
2θ 27.34, intensity 395, (0 1 2)
2θ 27.50, intensity 388, (1 1 0)
2θ 54.07, intensity 256, (2 1 2)
2θ 53.81, intensity 130, (1 1 4)
2θ 56.41, intensity 126, (0 2 4)
2θ 56.77, intensity 124, (2 2 0)